Structure and calculated powder diffractogram of K2Ta4O11 (a DFT-relaxed cell (GGA-PBE, OQMD); a wavelength of 1.5418 Å).
Peak positions follow from Bragg's law for the DFT cell and can differ from measured ones.

Crystal structure
```
data_K2Ta4O11
_chemical_formula_sum 'K4 Ta8 O22'
_cell_length_a 12.8506
_cell_length_b 12.8506
_cell_length_c 12.8506
_cell_angle_alpha 28.30
_cell_angle_beta 28.30
_cell_angle_gamma 28.30
_symmetry_space_group_name_H-M 'P 1'
_symmetry_Int_Tables_number 1
loop_
_symmetry_equiv_pos_as_xyz
'x,y,z'
loop_
_atom_site_label
_atom_site_type_symbol
_atom_site_fract_x
_atom_site_fract_y
_atom_site_fract_z
K1 K 0.1741 0.1741 0.1741
K2 K 0.3259 0.3259 0.3259
K3 K 0.6741 0.6741 0.6741
K4 K 0.8259 0.8259 0.8259
Ta1 Ta 0.0000 0.0000 0.0000
Ta2 Ta 0.1165 0.7500 0.3835
Ta3 Ta 0.2500 0.6165 0.8835
Ta4 Ta 0.3835 0.1165 0.7500
Ta5 Ta 0.5000 0.5000 0.5000
Ta6 Ta 0.6165 0.8835 0.2500
Ta7 Ta 0.7500 0.3835 0.1165
Ta8 Ta 0.8835 0.2500 0.6165
O1 O 0.0038 0.4962 0.2500
O2 O 0.0690 0.7582 0.2669
O3 O 0.0940 0.0940 0.0940
O4 O 0.2331 0.7418 0.4310
O5 O 0.2418 0.7331 0.9310
O6 O 0.2500 0.0038 0.4962
O7 O 0.2582 0.5690 0.7669
O8 O 0.2669 0.0690 0.7582
O9 O 0.4060 0.4060 0.4060
O10 O 0.4310 0.2331 0.7418
O11 O 0.4962 0.2500 0.0038
O12 O 0.5038 0.7500 0.9962
O13 O 0.5690 0.7669 0.2582
O14 O 0.5940 0.5940 0.5940
O15 O 0.7331 0.9310 0.2418
O16 O 0.7418 0.4310 0.2331
O17 O 0.7500 0.9962 0.5038
O18 O 0.7582 0.2669 0.0690
O19 O 0.7669 0.2582 0.5690
O20 O 0.9060 0.9060 0.9060
O21 O 0.9310 0.2418 0.7331
O22 O 0.9962 0.5038 0.7500
```

Peak list (6 most intense, 2θ from 10° to 80°, most intense first)
2θ/deg, d/Å, Rel. int.
29.3, 3.045, 100.0
32.0, 2.799, 95.0
29.0, 3.082, 53.4
14.4, 6.164, 46.4
17.0, 5.220, 44.3
59.1, 1.563, 36.9

Structure and calculated powder diffractogram of KTbO3 (a DFT-relaxed cell (GGA-PBE, OQMD); a wavelength of 1.5418 Å).
Peak positions follow from Bragg's law for the DFT cell and can differ from measured ones.

Crystal structure
```
data_KTbO3
_chemical_formula_sum 'K2 Tb2 O6'
_cell_length_a 6.2343
_cell_length_b 6.2343
_cell_length_c 6.2343
_cell_angle_alpha 61.83
_cell_angle_beta 61.83
_cell_angle_gamma 61.83
_symmetry_space_group_name_H-M 'P 1'
_symmetry_Int_Tables_number 1
loop_
_symmetry_equiv_pos_as_xyz
'x,y,z'
loop_
_atom_site_label
_atom_site_type_symbol
_atom_site_fract_x
_atom_site_fract_y
_atom_site_fract_z
K1 K 0.1204 0.1204 0.1204
K2 K 0.8796 0.8796 0.8796
Tb1 Tb 0.3519 0.3519 0.3519
Tb2 Tb 0.6481 0.6481 0.6481
O1 O 0.0466 0.4980 0.6717
O2 O 0.3283 0.9534 0.5020
O3 O 0.4980 0.6717 0.0466
O4 O 0.5020 0.3283 0.9534
O5 O 0.6717 0.0466 0.4980
O6 O 0.9534 0.5020 0.3283
```

Peak list (6 most intense, 2θ from 10° to 80°, most intense first)
2θ/deg, d/Å, Rel. int.
27.9, 3.203, 100.0
28.7, 3.115, 79.8
33.2, 2.700, 59.1
17.7, 5.019, 54.6
17.0, 5.205, 53.3
49.8, 1.832, 39.8

Structure and calculated powder diffractogram of KTbO3 (a DFT-relaxed cell (GGA-PBE, OQMD); a wavelength of 1.5418 Å).
Peak positions follow from Bragg's law for the DFT cell and can differ from measured ones.

Crystal structure
```
data_KTbO3
_chemical_formula_sum 'K2 Tb2 O6'
_cell_length_a 6.2515
_cell_length_b 6.2515
_cell_length_c 6.2515
_cell_angle_alpha 60.11
_cell_angle_beta 60.11
_cell_angle_gamma 60.11
_symmetry_space_group_name_H-M 'P 1'
_symmetry_Int_Tables_number 1
loop_
_symmetry_equiv_pos_as_xyz
'x,y,z'
loop_
_atom_site_label
_atom_site_type_symbol
_atom_site_fract_x
_atom_site_fract_y
_atom_site_fract_z
K1 K 0.2500 0.2500 0.2500
K2 K 0.7500 0.7500 0.7500
Tb1 Tb 0.0000 0.0000 0.0000
Tb2 Tb 0.5000 0.5000 0.5000
O1 O 0.2177 0.7500 0.2823
O2 O 0.2500 0.7177 0.7823
O3 O 0.2823 0.2177 0.7500
O4 O 0.7177 0.7823 0.2500
O5 O 0.7500 0.2823 0.2177
O6 O 0.7823 0.2500 0.7177
```

Peak list (6 most intense, 2θ from 10° to 80°, most intense first)
2θ/deg, d/Å, Rel. int.
28.5, 3.128, 100.0
20.1, 4.424, 62.7
40.8, 2.212, 34.1
50.5, 1.807, 31.9
45.9, 1.979, 29.7
66.9, 1.399, 17.7

Structure and calculated powder diffractogram of K2TcO3 (a DFT-relaxed cell (GGA-PBE, OQMD); a wavelength of 1.5418 Å).
Peak positions follow from Bragg's law for the DFT cell and can differ from measured ones.

Crystal structure
```
data_K2TcO3
_chemical_formula_sum 'K4 Tc2 O6'
_cell_length_a 6.3822
_cell_length_b 6.3822
_cell_length_c 7.2339
_cell_angle_alpha 90.00
_cell_angle_beta 90.00
_cell_angle_gamma 120.00
_symmetry_space_group_name_H-M 'P 1'
_symmetry_Int_Tables_number 1
loop_
_symmetry_equiv_pos_as_xyz
'x,y,z'
loop_
_atom_site_label
_atom_site_type_symbol
_atom_site_fract_x
_atom_site_fract_y
_atom_site_fract_z
K1 K 0.0000 0.0000 0.0000
K2 K 0.0000 0.0000 0.5000
K3 K 0.3333 0.6667 0.2524
K4 K 0.6667 0.3333 0.7476
Tc1 Tc 0.3333 0.6667 0.7507
Tc2 Tc 0.6667 0.3333 0.2493
O1 O 0.1043 0.7493 0.7497
O2 O 0.2507 0.3551 0.7497
O3 O 0.3551 0.2507 0.2503
O4 O 0.6449 0.8957 0.7497
O5 O 0.7493 0.1043 0.2503
O6 O 0.8957 0.6449 0.2503
```

Peak list (6 most intense, 2θ from 10° to 80°, most intense first)
2θ/deg, d/Å, Rel. int.
28.0, 3.191, 100.0
29.5, 3.027, 75.1
20.2, 4.392, 70.3
24.6, 3.617, 39.9
41.1, 2.196, 39.6
50.5, 1.809, 37.9

Structure and calculated powder diffractogram of K4TcO4 (a DFT-relaxed cell (GGA-PBE, OQMD); a wavelength of 1.5418 Å).
Peak positions follow from Bragg's law for the DFT cell and can differ from measured ones.

Crystal structure
```
data_K4TcO4
_chemical_formula_sum 'K4 Tc1 O4'
_cell_length_a 5.5532
_cell_length_b 5.5532
_cell_length_c 6.0746
_cell_angle_alpha 102.68
_cell_angle_beta 102.68
_cell_angle_gamma 69.05
_symmetry_space_group_name_H-M 'P 1'
_symmetry_Int_Tables_number 1
loop_
_symmetry_equiv_pos_as_xyz
'x,y,z'
loop_
_atom_site_label
_atom_site_type_symbol
_atom_site_fract_x
_atom_site_fract_y
_atom_site_fract_z
K1 K 0.1213 0.1213 0.3549
K2 K 0.3093 0.3093 0.9126
K3 K 0.6907 0.6907 0.0874
K4 K 0.8787 0.8787 0.6451
Tc1 Tc 0.5000 0.5000 0.5000
O1 O 0.1789 0.6062 0.2993
O2 O 0.3938 0.8211 0.7007
O3 O 0.6062 0.1789 0.2993
O4 O 0.8211 0.3938 0.7007
```

Peak list (6 most intense, 2θ from 10° to 80°, most intense first)
2θ/deg, d/Å, Rel. int.
33.4, 2.681, 100.0
32.8, 2.730, 85.5
28.4, 3.145, 79.8
40.6, 2.224, 66.2
15.1, 5.855, 49.9
17.3, 5.124, 48.2

Structure and calculated powder diffractogram of K4Zr5O12 (a DFT-relaxed cell (GGA-PBE, OQMD); a wavelength of 1.5418 Å).
Peak positions follow from Bragg's law for the DFT cell and can differ from measured ones.

Crystal structure
```
data_K4Zr5O12
_chemical_formula_sum 'K4 Zr5 O12'
_cell_length_a 5.8465
_cell_length_b 5.8465
_cell_length_c 10.4885
_cell_angle_alpha 90.00
_cell_angle_beta 90.00
_cell_angle_gamma 120.00
_symmetry_space_group_name_H-M 'P 1'
_symmetry_Int_Tables_number 1
loop_
_symmetry_equiv_pos_as_xyz
'x,y,z'
loop_
_atom_site_label
_atom_site_type_symbol
_atom_site_fract_x
_atom_site_fract_y
_atom_site_fract_z
K1 K 0.0000 0.0000 0.1780
K2 K 0.0000 0.0000 0.8220
K3 K 0.3333 0.6667 0.3862
K4 K 0.6667 0.3333 0.6138
Zr1 Zr 0.0000 0.0000 0.5000
Zr2 Zr 0.3333 0.6667 0.0240
Zr3 Zr 0.3333 0.6667 0.7170
Zr4 Zr 0.6667 0.3333 0.2830
Zr5 Zr 0.6667 0.3333 0.9760
O1 O 0.0189 0.5095 0.8767
O2 O 0.1648 0.3296 0.6213
O3 O 0.1648 0.8352 0.6213
O4 O 0.3296 0.1648 0.3787
O5 O 0.4905 0.5095 0.8767
O6 O 0.4905 0.9811 0.8767
O7 O 0.5095 0.0189 0.1233
O8 O 0.5095 0.4905 0.1233
O9 O 0.6704 0.8352 0.6213
O10 O 0.8352 0.1648 0.3787
O11 O 0.8352 0.6704 0.3787
O12 O 0.9811 0.4905 0.1233
```

Peak list (6 most intense, 2θ from 10° to 80°, most intense first)
2θ/deg, d/Å, Rel. int.
30.6, 2.923, 100.0
31.1, 2.877, 86.7
19.5, 4.560, 63.0
44.2, 2.050, 62.8
54.7, 1.679, 35.3
46.5, 1.952, 22.0

Structure and calculated powder diffractogram of K2Zr2O5 (a DFT-relaxed cell (GGA-PBE, OQMD); a wavelength of 1.5418 Å).
Peak positions follow from Bragg's law for the DFT cell and can differ from measured ones.

Crystal structure
```
data_K2Zr2O5
_chemical_formula_sum 'K8 Zr8 O20'
_cell_length_a 5.8575
_cell_length_b 10.8336
_cell_length_c 8.6969
_cell_angle_alpha 90.00
_cell_angle_beta 90.00
_cell_angle_gamma 90.00
_symmetry_space_group_name_H-M 'P 1'
_symmetry_Int_Tables_number 1
loop_
_symmetry_equiv_pos_as_xyz
'x,y,z'
loop_
_atom_site_label
_atom_site_type_symbol
_atom_site_fract_x
_atom_site_fract_y
_atom_site_fract_z
K1 K 0.0647 0.1668 0.0755
K2 K 0.0647 0.3332 0.4245
K3 K 0.4353 0.6668 0.4245
K4 K 0.4353 0.8332 0.0755
K5 K 0.5647 0.1668 0.9245
K6 K 0.5647 0.3332 0.5755
K7 K 0.9353 0.6668 0.5755
K8 K 0.9353 0.8332 0.9245
Zr1 Zr 0.0318 0.0765 0.6614
Zr2 Zr 0.0318 0.4235 0.8386
Zr3 Zr 0.4682 0.5765 0.8386
Zr4 Zr 0.4682 0.9235 0.6614
Zr5 Zr 0.5318 0.0765 0.3386
Zr6 Zr 0.5318 0.4235 0.1614
Zr7 Zr 0.9682 0.5765 0.1614
Zr8 Zr 0.9682 0.9235 0.3386
O1 O 0.0129 0.7500 0.2500
O2 O 0.1261 0.6079 0.9473
O3 O 0.1261 0.8921 0.5527
O4 O 0.2500 0.0000 0.2398
O5 O 0.2500 0.0000 0.8298
O6 O 0.2500 0.5000 0.2602
O7 O 0.2500 0.5000 0.6702
O8 O 0.3739 0.1079 0.5527
O9 O 0.3739 0.3921 0.9473
O10 O 0.4871 0.2500 0.2500
O11 O 0.5129 0.7500 0.7500
O12 O 0.6261 0.6079 0.0527
O13 O 0.6261 0.8921 0.4473
O14 O 0.7500 0.0000 0.1702
O15 O 0.7500 0.0000 0.7602
O16 O 0.7500 0.5000 0.3298
O17 O 0.7500 0.5000 0.7398
O18 O 0.8739 0.1079 0.4473
O19 O 0.8739 0.3921 0.0527
O20 O 0.9871 0.2500 0.7500
```

Peak list (6 most intense, 2θ from 10° to 80°, most intense first)
2θ/deg, d/Å, Rel. int.
30.5, 2.933, 100.0
13.1, 6.782, 41.9
30.9, 2.898, 39.7
44.8, 2.024, 24.9
16.4, 5.417, 23.3
20.0, 4.433, 20.7

Structure and calculated powder diffractogram of K2Os (a DFT-relaxed cell (GGA-PBE, OQMD); a wavelength of 1.5418 Å).
Peak positions follow from Bragg's law for the DFT cell and can differ from measured ones.

Crystal structure
```
data_K2Os
_chemical_formula_sum 'K4 Os2'
_cell_length_a 6.1940
_cell_length_b 6.1940
_cell_length_c 6.1940
_cell_angle_alpha 60.00
_cell_angle_beta 60.00
_cell_angle_gamma 60.00
_symmetry_space_group_name_H-M 'P 1'
_symmetry_Int_Tables_number 1
loop_
_symmetry_equiv_pos_as_xyz
'x,y,z'
loop_
_atom_site_label
_atom_site_type_symbol
_atom_site_fract_x
_atom_site_fract_y
_atom_site_fract_z
K1 K 0.0000 0.0000 0.0000
K2 K 0.0000 0.0000 0.5000
K3 K 0.0000 0.5000 0.0000
K4 K 0.5000 0.0000 0.0000
Os1 Os 0.3750 0.3750 0.3750
Os2 Os 0.6250 0.6250 0.6250
```

Peak list (6 most intense, 2θ from 10° to 80°, most intense first)
2θ/deg, d/Å, Rel. int.
33.9, 2.641, 100.0
28.8, 3.097, 89.0
17.5, 5.057, 43.6
51.1, 1.788, 37.3
54.4, 1.686, 33.8
59.7, 1.548, 22.7